[1]
The following is a calculated powder diffraction line list of TmCo9Si3. It was derived from the GGA-PBE geometry in Alexandria, using copper Kα.
Peak positions follow from Bragg's law for the DFT cell and can differ from measured ones.

Top 6 peaks for 10° ≤ 2θ ≤ 90°, in order of rising 2θ:
2θ 38.22, d = 2.355 Å, I 96, hkl 2 0 -1
2θ 38.67, d = 2.328 Å, I 56, hkl 1 3 -2
2θ 44.26, d = 2.047 Å, I 46, hkl 2 2 0
2θ 44.42, d = 2.040 Å, I 58, hkl 1 5 0
2θ 44.72, d = 2.026 Å, I 100, hkl 1 1 2
2θ 44.82, d = 2.022 Å, I 82, hkl 0 4 2

Cell and atoms:
Lattice parameters (Å, degrees): 4.7129 11.5250 6.1114 90.00 111.71 90.00
Space group C2/m (No. 12)
Inequivalent atoms, fractional coordinates:
Tm 0.0000 0.0000 0.0000 [2 per cell]
Co 0.0000 0.0000 0.5000 [2 per cell]
Co 0.1096 0.3861 0.2236 [8 per cell]
Co 0.1734 0.1775 0.3505 [8 per cell]
Si 0.0000 0.5000 0.5000 [2 per cell]
Si 0.2500 0.2500 0.0000 [4 per cell]

[2]
The following is a calculated powder diffraction line list of Tm2ZnCo5Si2. It was derived from the GGA-PBE geometry in Alexandria, using copper Kα.
Peak positions follow from Bragg's law for the DFT cell and can differ from measured ones.

Top 6 peaks for 10° ≤ 2θ ≤ 90°, in order of rising 2θ:
2θ 21.32, d = 4.167 Å, I 34, hkl 2 1 0
2θ 35.01, d = 2.563 Å, I 84, hkl 2 1 1
2θ 38.92, d = 2.314 Å, I 35, hkl 2 2 1
2θ 39.90, d = 2.260 Å, I 83, hkl 4 1 0
2θ 41.10, d = 2.196 Å, I 29, hkl 3 3 0
2θ 41.36, d = 2.183 Å, I 100, hkl 3 1 1

Cell and atoms:
Lattice parameters (Å, degrees): 9.3169 9.3169 3.2511 90.00 90.00 90.00
Space group P4/mbm (No. 127)
Inequivalent atoms, fractional coordinates:
Tm 0.1762 0.3238 0.0000 [4 per cell]
Zn 0.0000 0.0000 0.0000 [2 per cell]
Co 0.0000 0.5000 0.5000 [2 per cell]
Co 0.0655 0.7853 0.5000 [8 per cell]
Si 0.1215 0.6215 0.0000 [4 per cell]

[3]
The following is a calculated powder diffraction line list of UCo2Si3. It was derived from the GGA-PBE geometry in Alexandria, using copper Kα.
Peak positions follow from Bragg's law for the DFT cell and can differ from measured ones.

Top 6 peaks for 10° ≤ 2θ ≤ 90°, in order of rising 2θ:
2θ 17.91, d = 4.954 Å, I 53, hkl 2 0 1
2θ 23.83, d = 3.733 Å, I 62, hkl 4 0 -1
2θ 26.60, d = 3.351 Å, I 48, hkl 1 1 1
2θ 33.01, d = 2.714 Å, I 100, hkl 3 1 -2
2θ 37.73, d = 2.384 Å, I 85, hkl 1 1 -3
2θ 37.87, d = 2.376 Å, I 65, hkl 5 1 -1

Cell and atoms:
Lattice parameters (Å, degrees): 15.0815 3.8657 9.1130 90.00 106.01 90.00
Space group C2/m (No. 12)
Inequivalent atoms, fractional coordinates:
U 0.0000 0.0000 0.0000 [2 per cell]
U 0.1534 0.0000 0.7030 [4 per cell]
Co 0.0082 0.5000 0.7722 [4 per cell]
Co 0.1425 0.5000 0.4462 [4 per cell]
Co 0.1977 0.0000 0.1068 [4 per cell]
Si 0.0000 0.5000 0.5000 [2 per cell]
Si 0.0473 0.0000 0.3565 [4 per cell]
Si 0.1379 0.5000 0.1940 [4 per cell]
Si 0.1552 0.5000 0.9433 [4 per cell]
Si 0.2186 0.0000 0.3777 [4 per cell]

[4]
The following is a calculated powder diffraction line list of UCo2Si. It was derived from the GGA-PBE geometry in Alexandria, using copper Kα.
Peak positions follow from Bragg's law for the DFT cell and can differ from measured ones.

Top 6 peaks for 10° ≤ 2θ ≤ 90°, in order of rising 2θ:
2θ 13.63, d = 6.495 Å, I 73, hkl 0 0 1
2θ 34.18, d = 2.624 Å, I 76, hkl 1 0 1
2θ 42.03, d = 2.150 Å, I 100, hkl 1 0 2
2θ 44.69, d = 2.028 Å, I 47, hkl 1 1 0
2θ 62.78, d = 1.480 Å, I 21, hkl 1 1 3
2θ 80.52, d = 1.193 Å, I 31, hkl 2 1 2

Cell and atoms:
Lattice parameters (Å, degrees): 2.8679 2.8679 6.4951 90.00 90.00 90.00
Space group P4/mmm (No. 123)
Inequivalent atoms, fractional coordinates:
U 0.0000 0.0000 0.0000 [1 per cell]
Co 0.5000 0.5000 0.2972 [2 per cell]
Si 0.0000 0.0000 0.5000 [1 per cell]

[5]
The following is a calculated powder diffraction line list of V3CoSi. It was derived from the GGA-PBE geometry in Alexandria, using copper Kα.
Peak positions follow from Bragg's law for the DFT cell and can differ from measured ones.

Top 6 peaks for 10° ≤ 2θ ≤ 90°, in order of rising 2θ:
2θ 27.59, d = 3.233 Å, I 74, hkl 0 2 0
2θ 39.97, d = 2.256 Å, I 67, hkl 1 1 2
2θ 41.89, d = 2.157 Å, I 80, hkl 2 0 2
2θ 42.99, d = 2.104 Å, I 100, hkl 4 0 0
2θ 45.75, d = 1.983 Å, I 100, hkl 0 2 2
2θ 50.84, d = 1.796 Å, I 70, hkl 3 1 2

Cell and atoms:
Lattice parameters (Å, degrees): 8.4151 6.4665 5.0232 90.00 90.00 90.00
Space group Ima2 (No. 46)
Inequivalent atoms, fractional coordinates:
V 0.0079 0.2265 0.0000 [8 per cell]
V 0.2500 0.0899 0.7885 [4 per cell]
Co 0.2500 0.7317 0.0922 [4 per cell]
Si 0.2500 0.0380 0.2896 [4 per cell]

[6]
The following is a calculated powder diffraction line list of VCo4Si2. It was derived from the GGA-PBE geometry in Alexandria, using copper Kα.
Peak positions follow from Bragg's law for the DFT cell and can differ from measured ones.

Top 6 peaks for 10° ≤ 2θ ≤ 90°, in order of rising 2θ:
2θ 10.77, d = 8.214 Å, I 90, hkl 0 0 2
2θ 23.74, d = 3.747 Å, I 29, hkl 0 1 1
2θ 43.98, d = 2.059 Å, I 69, hkl 1 1 2
2θ 45.26, d = 2.004 Å, I 100, hkl 0 1 7
2θ 47.23, d = 1.924 Å, I 62, hkl 0 2 0
2θ 48.19, d = 1.888 Å, I 86, hkl 1 1 4

Cell and atoms:
Lattice parameters (Å, degrees): 2.5513 3.8487 16.4284 90.00 90.00 90.00
Space group Immm (No. 71)
Inequivalent atoms, fractional coordinates:
V 0.0000 0.0000 0.0000 [2 per cell]
Co 0.0000 0.0000 0.1382 [4 per cell]
Co 0.0000 0.5000 0.2280 [4 per cell]
Si 0.0000 0.0000 0.4034 [4 per cell]

[7]
The following is a calculated powder diffraction line list of V4Co7Si6. It was derived from the GGA-PBE geometry in Alexandria, using copper Kα.
Peak positions follow from Bragg's law for the DFT cell and can differ from measured ones.

Top 6 peaks for 10° ≤ 2θ ≤ 90°, in order of rising 2θ:
2θ 29.61, d = 3.017 Å, I 21, hkl 2 1 1
2θ 42.37, d = 2.133 Å, I 100, hkl 2 2 2
2θ 45.95, d = 1.975 Å, I 37, hkl 3 2 1
2θ 49.33, d = 1.847 Å, I 66, hkl 4 0 0
2θ 72.34, d = 1.306 Å, I 32, hkl 4 4 0
2θ 87.58, d = 1.114 Å, I 24, hkl 6 2 2

Cell and atoms:
Lattice parameters (Å, degrees): 7.3894 7.3894 7.3894 90.00 90.00 90.00
Space group Im-3m (No. 229)
Inequivalent atoms, fractional coordinates:
V 0.2500 0.2500 0.2500 [8 per cell]
Co 0.0000 0.0000 0.0000 [2 per cell]
Co 0.0000 0.2500 0.5000 [12 per cell]
Si 0.0000 0.0000 0.3134 [12 per cell]

[8]
The following is a calculated powder diffraction line list of Y3Co7Si2. It was derived from the GGA-PBE geometry in Alexandria, using copper Kα.
Peak positions follow from Bragg's law for the DFT cell and can differ from measured ones.

Top 6 peaks for 10° ≤ 2θ ≤ 90°, in order of rising 2θ:
2θ 34.31, d = 2.614 Å, I 44, hkl 1 0 7
2θ 34.73, d = 2.583 Å, I 33, hkl 1 1 0
2θ 37.72, d = 2.385 Å, I 39, hkl 0 1 8
2θ 40.53, d = 2.226 Å, I 59, hkl 0 2 1
2θ 42.47, d = 2.128 Å, I 100, hkl 1 1 6
2θ 73.31, d = 1.291 Å, I 27, hkl 2 2 0

Cell and atoms:
Lattice parameters (Å, degrees): 5.1654 5.1654 22.5475 90.00 90.00 120.00
Space group R-3m (No. 166, hexagonal axes)
Inequivalent atoms, fractional coordinates:
Y 0.0000 0.0000 0.0000 [3 per cell]
Y 0.0000 0.0000 0.1416 [6 per cell]
Co 0.0000 0.0000 0.5000 [3 per cell]
Co 0.0041 0.5020 0.0786 [18 per cell]
Si 0.0000 0.0000 0.3327 [6 per cell]